Diffraction record for CeMgPd. The X-ray diffraction stick pattern is theoretical, not measured: it uses a GGA-PBE-relaxed structure and Cu Kα, 1.54184 Å.

Crystal structure
Unit cell a=13.503 b=4.010 c=7.689 alpha=90.00 beta=90.00 gamma=90.00
Positions (direct):
Ce1 0.042 0.000 0.232
Ce2 0.250 0.000 0.858
Ce3 0.458 0.000 0.232
Ce4 0.542 0.000 0.768
Ce5 0.750 0.000 0.142
Ce6 0.958 0.000 0.768
Mg1 0.126 0.500 0.565
Mg2 0.250 0.500 0.210
Mg3 0.374 0.500 0.565
Mg4 0.626 0.500 0.435
Mg5 0.750 0.500 0.790
Mg6 0.874 0.500 0.435
Pd1 0.101 0.500 0.939
Pd2 0.250 0.000 0.449
Pd3 0.399 0.500 0.939
Pd4 0.601 0.500 0.061
Pd5 0.750 0.000 0.551
Pd6 0.899 0.500 0.061

Peak list (12 most intense, 2θ from 15° to 90°, in order of rising 2θ)
hkl 0 1 0, 4.010 Å, rel. 22
hkl 1 0 2, 3.698 Å, rel. 38
hkl 2 0 2, 3.341 Å, rel. 26
hkl 3 1 1, 2.790 Å, rel. 100
hkl 0 1 2, 2.775 Å, rel. 48
hkl 4 1 0, 2.582 Å, rel. 92
hkl 2 1 2, 2.566 Å, rel. 75
hkl 3 1 2, 2.362 Å, rel. 58
hkl 3 0 3, 2.227 Å, rel. 30
hkl 0 1 3, 2.160 Å, rel. 22
hkl 0 2 0, 2.005 Å, rel. 43
hkl 7 1 3, 1.439 Å, rel. 23